This entry pairs a crystal structure of SbWO7 with its simulated PXRD pattern. Radiation: Cu Kα. Structure: a cell relaxed with PBE+U.
Neutral-atom scattering factors, no anomalous dispersion.

Top 6 peaks for 10 to 90 degrees two-theta, by angle:
Position (°2θ), I_rel
14.6, 52
14.9, 100
28.3, 55
29.5, 46
30.0, 45
49.5, 30

Atomic structure:
```
18
Lattice="-3.626 3.712 5.238 3.626 -3.712 5.238 3.626 3.712 -5.238" Properties=species:S:1:pos:R:3 pbc="T T T"
Sb -1.813 1.856 2.619
Sb 1.813 1.856 2.619
W 0.000 0.000 0.000
W 0.000 3.712 0.000
O 3.626 1.856 -1.299
O 1.365 0.428 1.292
O 5.887 0.428 1.292
O 3.626 -1.856 4.645
O 3.626 1.856 1.838
O 1.365 4.140 -1.292
O 2.261 0.428 3.946
O 1.365 3.284 1.292
O 2.261 -0.428 6.530
O 0.000 1.856 3.400
O 0.000 5.569 0.593
O -2.261 3.284 3.946
O 2.261 3.284 3.946
O 0.000 1.856 6.537
```


This entry pairs a crystal structure of TlMoPO6 with its simulated PXRD pattern. Radiation: Cu Kα. Structure: a cell relaxed with PBE+U.
Neutral-atom scattering factors, no anomalous dispersion.

Top 6 peaks for 10 to 90 degrees two-theta, by angle:
Position (°2θ), I_rel
21.2, 78
22.2, 40
25.7, 36
27.8, 33
30.9, 100
35.9, 29

Atomic structure:
```
36
Lattice="0.000 6.413 7.999 5.544 0.000 7.999 5.544 6.413 0.000" Properties=species:S:1:pos:R:3 pbc="T T T"
Tl 7.396 4.810 5.999
Tl 10.168 8.016 9.998
Tl 0.920 4.810 5.999
Tl 3.692 8.016 9.998
Mo 4.158 2.018 5.999
Mo 6.930 5.225 9.998
Mo 4.158 7.601 5.999
Mo 6.930 10.807 9.998
P 4.158 4.810 3.891
P 6.930 8.016 7.891
P 4.158 4.810 8.107
P 6.930 8.016 12.106
O 5.175 4.086 2.932
O 3.544 0.920 4.815
O 4.772 0.920 7.183
O 7.544 4.126 8.815
O 3.448 3.737 4.724
O 4.869 3.737 7.273
O 4.869 5.882 4.724
O 3.141 5.533 2.932
O 7.947 8.740 6.931
O 7.641 6.944 8.724
O 6.316 4.126 11.182
O 5.913 7.292 6.931
O 5.175 5.533 9.066
O 4.772 8.699 4.815
O 3.448 5.882 7.273
O 3.141 4.086 9.066
O 7.947 7.292 13.065
O 6.220 6.944 11.273
O 6.220 9.088 8.724
O 7.641 9.088 11.273
O 3.544 8.699 7.183
O 6.316 11.906 8.815
O 7.544 11.906 11.182
O 5.913 8.740 13.065
```


This entry pairs a crystal structure of Ba2CaMnV2F14 with its simulated PXRD pattern. Radiation: Cu Kα. Structure: a cell relaxed with PBE+U.
Neutral-atom scattering factors, no anomalous dispersion.

Top 6 peaks for 10 to 90 degrees two-theta, by angle:
Position (°2θ), I_rel
23.3, 29
25.1, 100
29.1, 34
29.3, 25
42.8, 31
54.0, 27

Atomic structure:
```
40
Lattice="7.000 -2.738 0.000 7.000 2.738 0.000 -0.415 0.000 15.290" Properties=species:S:1:pos:R:3 pbc="T T T"
Ba 2.602 0.242 1.876
Ba 2.395 -0.242 9.521
Ba 11.189 0.242 5.769
Ba 10.982 -0.242 13.414
Ca 6.896 0.265 3.822
Ca 6.688 -0.265 11.467
Mn 7.000 0.000 0.000
Mn 6.792 0.000 7.645
V 1.327 0.011 13.401
V 1.535 -0.011 5.756
V 12.050 0.011 9.534
V 12.257 -0.011 1.889
F 4.629 1.571 3.410
F 6.730 2.177 5.254
F 5.591 1.757 7.891
F 7.062 2.177 2.391
F 4.972 1.198 10.745
F 5.157 1.105 0.717
F 3.366 0.330 6.269
F 7.786 1.757 15.044
F 3.159 -0.330 13.914
F 5.838 0.514 13.416
F 9.163 1.571 4.235
F 8.405 1.198 12.190
F 8.635 1.105 6.928
F 7.539 0.514 9.519
F 6.045 -0.514 5.771
F 4.950 -1.105 8.362
F 5.179 -1.198 3.100
F 4.421 -1.571 11.055
F 7.747 -0.514 1.874
F 10.426 0.330 1.376
F 5.799 -1.757 0.246
F 10.218 -0.330 9.021
F 8.427 -1.105 14.573
F 8.613 -1.198 4.545
F 6.522 -2.177 12.899
F 7.993 -1.757 7.399
F 6.855 -2.177 10.036
F 8.956 -1.571 11.880
```


This entry pairs a crystal structure of Li5V2Fe5O12 with its simulated PXRD pattern. Radiation: Cu Kα. Structure: a cell relaxed with PBE+U.
Neutral-atom scattering factors, no anomalous dispersion.

Top 6 peaks for 10 to 90 degrees two-theta, by angle:
Position (°2θ), I_rel
18.0, 37
23.3, 27
42.4, 100
43.0, 47
61.5, 28
61.7, 27

Atomic structure:
```
24
Lattice="2.579 -4.527 0.000 2.579 4.527 0.000 -1.805 0.000 9.843" Properties=species:S:1:pos:R:3 pbc="T T T"
Li 0.000 0.000 0.000
Li -0.079 0.060 7.413
Li 0.803 -1.415 2.419
Li 3.433 0.060 2.430
Li 2.551 -1.415 7.424
V 2.579 1.577 0.000
V 1.677 -2.974 4.922
Fe 0.806 1.540 2.422
Fe 1.677 3.120 4.922
Fe 1.677 0.058 4.922
Fe 2.547 1.540 7.421
Fe 2.579 -1.399 0.000
O 1.682 2.998 1.120
O -0.128 0.060 3.730
O 0.789 1.645 6.049
O 1.672 2.998 8.724
O 1.799 0.129 1.157
O 2.565 1.645 3.795
O 0.786 -1.520 6.109
O 1.555 0.129 8.686
O 1.586 -2.874 1.088
O 2.568 -1.520 3.734
O 3.482 0.060 6.113
O 1.768 -2.874 8.755
```


This entry pairs a crystal structure of CaMn4Ag4O16 with its simulated PXRD pattern. Radiation: Cu Kα. Structure: a cell relaxed with PBE+U.
Neutral-atom scattering factors, no anomalous dispersion.

Top 6 peaks for 10 to 90 degrees two-theta, by angle:
Position (°2θ), I_rel
15.6, 39
25.1, 69
27.5, 100
28.2, 42
28.7, 68
32.2, 48

Atomic structure:
```
25
Lattice="5.604 0.000 0.000 -1.001 7.972 0.000 -0.102 -0.454 8.599" Properties=species:S:1:pos:R:3 pbc="T T T"
Ca 0.000 0.000 0.000
Mn 1.620 6.471 0.180
Mn 2.023 4.356 4.408
Mn 4.829 2.758 0.959
Mn 5.272 0.428 5.205
Ag 1.919 2.423 7.409
Ag 2.392 0.929 2.785
Ag 4.866 4.252 6.598
Ag 4.794 5.880 2.848
O 0.578 -0.006 3.890
O 0.340 1.739 5.939
O 0.763 2.124 0.474
O 0.481 4.800 4.794
O 0.650 6.960 1.516
O 0.831 4.626 8.135
O 1.300 7.255 7.720
O 2.008 3.158 3.323
O 2.814 3.839 5.776
O 2.801 5.656 3.810
O 3.775 0.809 4.717
O 3.208 6.210 0.598
O 4.092 1.249 1.332
O 3.918 2.899 8.190
O 4.237 7.158 6.285
O 4.860 3.738 2.271
```